No. 1
For Sm8Al2In, DFT lattice parameters and positions (PBE) gives the computed powder X-ray diffraction pattern in this record (Cu Kα (weighted mean of Kα1 and Kα2)).
Kinematic intensities with the Lorentz-polarization factor, no thermal factor.

Top 6 peaks for 2θ from 15° to 90°, sorted by position:
2θ (°), intensity
31.4, 26
32.0, 20
32.7, 100
35.3, 27
36.0, 21
61.7, 16

Structural model:
a = 8.9923 Å, b = 8.9923 Å, c = 8.9923 Å
α = 147.12°, β = 123.26°, γ = 67.15°
Element x y z (fractional)
Sm: 0.1204 0.3390 0.7815
Sm: 0.1445 0.1445 0.0000
Sm: 0.3135 0.0000 0.3135
Sm: 0.4425 0.6610 0.7815
Sm: 0.5575 0.3390 0.2185
Sm: 0.6865 0.0000 0.6865
Sm: 0.8555 0.8555 0.0000
Sm: 0.8796 0.6610 0.2185
Al: 0.3073 0.8073 0.5000
Al: 0.6927 0.1927 0.5000
In: 0.0000 0.5000 0.5000


No. 2
For CsPtF, DFT lattice parameters and positions (PBE) gives the computed powder X-ray diffraction pattern in this record (Cu Kα (weighted mean of Kα1 and Kα2)).
Kinematic intensities with the Lorentz-polarization factor, no thermal factor.

Top 6 peaks for 2θ from 15° to 90°, sorted by position:
2θ (°), intensity
15.7, 35
23.7, 100
31.8, 31
31.9, 26
35.3, 69
35.5, 60

Structural model:
a = 3.5932 Å, b = 3.6313 Å, c = 11.4008 Å
α = 91.50°, β = 98.75°, γ = 90.00°
Element x y z (fractional)
Cs: 0.0000 0.0000 0.0000
Cs: 0.1668 0.4825 0.3438
Pt: 0.3730 0.4773 0.7197
Pt: 0.8467 0.9705 0.6618
F: 0.5591 0.5114 0.1225
F: 0.7206 0.9914 0.4568


No. 3
For Sm5Y12Th2, DFT lattice parameters and positions (PBE) gives the computed powder X-ray diffraction pattern in this record (Cu Kα (weighted mean of Kα1 and Kα2)).
Kinematic intensities with the Lorentz-polarization factor, no thermal factor.

Top 6 peaks for 2θ from 15° to 90°, sorted by position:
2θ (°), intensity
31.2, 34
31.3, 100
31.4, 52
32.3, 58
33.0, 39
33.3, 16

Structural model:
a = 8.4411 Å, b = 8.8034 Å, c = 10.1734 Å
α = 95.19°, β = 101.73°, γ = 118.47°
Element x y z (fractional)
Sm: 0.0000 0.0000 0.0000
Sm: 0.0709 0.3942 0.8986
Sm: 0.1475 0.7428 0.5050
Sm: 0.8525 0.2572 0.4950
Sm: 0.9291 0.6058 0.1014
Y: 0.0377 0.0321 0.6749
Y: 0.1903 0.4205 0.2788
Y: 0.2723 0.8448 0.8870
Y: 0.3646 0.9532 0.2534
Y: 0.3924 0.5753 0.7136
Y: 0.4653 0.3009 0.9087
Y: 0.5347 0.6991 0.0913
Y: 0.6076 0.4247 0.2864
Y: 0.6354 0.0468 0.7466
Y: 0.7277 0.1552 0.1130
Y: 0.8097 0.5795 0.7212
Y: 0.9623 0.9679 0.3251
Th: 0.4141 0.2300 0.5355
Th: 0.5859 0.7700 0.4645


No. 4
For Mn4Fe5Ge, DFT lattice parameters and positions (PBE) gives the computed powder X-ray diffraction pattern in this record (Cu Kα (weighted mean of Kα1 and Kα2)).
Kinematic intensities with the Lorentz-polarization factor, no thermal factor.

Top 6 peaks for 2θ from 15° to 90°, sorted by position:
2θ (°), intensity
16.6, 14
40.6, 14
41.3, 100
44.1, 15
47.5, 22
51.4, 38

Structural model:
a = 5.7759 Å, b = 5.7759 Å, c = 5.7759 Å
α = 98.53°, β = 98.53°, γ = 134.69°
Element x y z (fractional)
Mn: 0.0000 0.3191 0.3191
Mn: 0.0000 0.6809 0.6809
Mn: 0.3191 0.0000 0.3191
Mn: 0.6809 0.0000 0.6809
Fe: 0.3160 0.3160 0.6226
Fe: 0.3160 0.6934 0.0000
Fe: 0.6934 0.3160 0.0000
Fe: 0.6934 0.6934 0.3774
Fe: 0.7472 0.7472 0.0000
Ge: 0.2253 0.2253 0.0000


No. 5
For ZrFe2Pd2, DFT lattice parameters and positions (PBE) gives the computed powder X-ray diffraction pattern in this record (Cu Kα (weighted mean of Kα1 and Kα2)).
Kinematic intensities with the Lorentz-polarization factor, no thermal factor.

Top 6 peaks for 2θ from 15° to 90°, sorted by position:
2θ (°), intensity
34.4, 25
38.6, 67
40.1, 61
42.0, 100
51.1, 22
73.5, 19

Structural model:
a = 7.3701 Å, b = 7.3701 Å, c = 2.8422 Å
α = 90.00°, β = 90.00°, γ = 90.00°
Element x y z (fractional)
Zr: 0.0000 0.0000 0.0000
Zr: 0.5000 0.5000 0.0000
Fe: 0.1160 0.3840 0.0000
Fe: 0.3840 0.8840 0.0000
Fe: 0.6160 0.1160 0.0000
Fe: 0.8840 0.6160 0.0000
Pd: 0.1776 0.6776 0.5000
Pd: 0.3224 0.1776 0.5000
Pd: 0.6776 0.8224 0.5000
Pd: 0.8224 0.3224 0.5000


No. 6
For Ba3Np2N3O4, DFT lattice parameters and positions (PBE) gives the computed powder X-ray diffraction pattern in this record (Cu Kα (weighted mean of Kα1 and Kα2)).
Kinematic intensities with the Lorentz-polarization factor, no thermal factor.

Top 6 peaks for 2θ from 15° to 90°, sorted by position:
2θ (°), intensity
28.4, 47
29.0, 100
42.2, 16
50.6, 38
51.7, 19
60.0, 18

Structural model:
a = 11.5179 Å, b = 11.5179 Å, c = 11.5179 Å
α = 158.58°, β = 157.73°, γ = 31.10°
Element x y z (fractional)
Ba: 0.0000 0.0000 0.0000
Ba: 0.1851 0.1851 0.0000
Ba: 0.8149 0.8149 0.0000
Np: 0.4034 0.4034 0.0000
Np: 0.5966 0.5966 0.0000
N: 0.4021 0.9021 0.5000
N: 0.5000 0.5000 0.0000
N: 0.5979 0.0979 0.5000
O: 0.0990 0.5990 0.5000
O: 0.3064 0.3064 0.0000
O: 0.6936 0.6936 0.0000
O: 0.9010 0.4010 0.5000


No. 7
For CsCeBe2Cl8, DFT lattice parameters and positions (PBE) gives the computed powder X-ray diffraction pattern in this record (Cu Kα (weighted mean of Kα1 and Kα2)).
Kinematic intensities with the Lorentz-polarization factor, no thermal factor.

Top 6 peaks for 2θ from 15° to 90°, sorted by position:
2θ (°), intensity
17.1, 42
19.8, 99
29.5, 29
33.2, 100
33.3, 31
45.4, 28

Structural model:
a = 10.9045 Å, b = 10.9045 Å, c = 10.9045 Å
α = 33.83°, β = 33.83°, γ = 33.83°
Element x y z (fractional)
Cs: 0.0000 0.0000 0.0000
Ce: 0.5000 0.5000 0.5000
Be: 0.2448 0.2448 0.2448
Be: 0.7552 0.7552 0.7552
Cl: 0.0818 0.4712 0.7845
Cl: 0.2155 0.9182 0.5288
Cl: 0.3080 0.3080 0.3080
Cl: 0.4712 0.7845 0.0818
Cl: 0.5288 0.2155 0.9182
Cl: 0.6920 0.6920 0.6920
Cl: 0.7845 0.0818 0.4712
Cl: 0.9182 0.5288 0.2155


No. 8
For PmTh2Tl3, DFT lattice parameters and positions (PBE) gives the computed powder X-ray diffraction pattern in this record (Cu Kα (weighted mean of Kα1 and Kα2)).
Kinematic intensities with the Lorentz-polarization factor, no thermal factor.

Top 6 peaks for 2θ from 15° to 90°, sorted by position:
2θ (°), intensity
31.8, 100
35.5, 38
39.6, 14
51.1, 14
54.2, 23
61.4, 31

Structural model:
a = 3.5770 Å, b = 3.5770 Å, c = 13.6456 Å
α = 90.00°, β = 90.00°, γ = 90.00°
Element x y z (fractional)
Pm: 0.0000 0.0000 0.0000
Th: 0.0000 0.0000 0.3321
Th: 0.0000 0.0000 0.6679
Tl: 0.5000 0.5000 0.1636
Tl: 0.5000 0.5000 0.5000
Tl: 0.5000 0.5000 0.8364


No. 9
For Mn2Cr2H3, DFT lattice parameters and positions (PBE) gives the computed powder X-ray diffraction pattern in this record (Cu Kα (weighted mean of Kα1 and Kα2)).
Kinematic intensities with the Lorentz-polarization factor, no thermal factor.

Top 6 peaks for 2θ from 15° to 90°, sorted by position:
2θ (°), intensity
41.9, 34
42.1, 100
48.8, 44
49.2, 21
71.7, 18
86.7, 14

Structural model:
a = 4.5603 Å, b = 4.5603 Å, c = 4.5569 Å
α = 100.16°, β = 100.16°, γ = 33.54°
Element x y z (fractional)
Mn: 0.1194 0.1194 0.3737
Mn: 0.8806 0.8806 0.6263
Cr: 0.3769 0.3769 0.1383
Cr: 0.6231 0.6231 0.8617
H: 0.0000 0.0000 0.0000
H: 0.2531 0.2531 0.7488
H: 0.7469 0.7469 0.2512


No. 10
For LaS6Cl2, DFT lattice parameters and positions (PBE) gives the computed powder X-ray diffraction pattern in this record (Cu Kα (weighted mean of Kα1 and Kα2)).
Kinematic intensities with the Lorentz-polarization factor, no thermal factor.

Top 6 peaks for 2θ from 15° to 90°, sorted by position:
2θ (°), intensity
18.5, 87
20.3, 100
24.1, 55
27.5, 67
28.1, 61
30.9, 75

Structural model:
a = 4.3712 Å, b = 7.7012 Å, c = 9.2123 Å
α = 110.19°, β = 92.56°, γ = 90.77°
Element x y z (fractional)
La: 0.0000 0.0000 0.0000
S: 0.0955 0.7267 0.4422
S: 0.0995 0.2751 0.3130
S: 0.1085 0.4962 0.7131
S: 0.8915 0.5038 0.2869
S: 0.9005 0.7249 0.6870
S: 0.9045 0.2733 0.5578
Cl: 0.4999 0.1761 0.9153
Cl: 0.5001 0.8239 0.0847


No. 11
For PtCl3, DFT lattice parameters and positions (PBE) gives the computed powder X-ray diffraction pattern in this record (Cu Kα (weighted mean of Kα1 and Kα2)).
Kinematic intensities with the Lorentz-polarization factor, no thermal factor.

Top 6 peaks for 2θ from 15° to 90°, sorted by position:
2θ (°), intensity
19.5, 38
21.1, 32
21.3, 19
35.0, 100
50.2, 32
50.4, 29

Structural model:
a = 13.1053 Å, b = 13.1053 Å, c = 13.1053 Å
α = 115.10°, β = 115.10°, γ = 115.10°
Element x y z (fractional)
Pt: 0.0653 0.2424 0.1641
Pt: 0.1641 0.0653 0.2424
Pt: 0.1812 0.7545 0.5052
Pt: 0.2424 0.1641 0.0653
Pt: 0.2455 0.4948 0.8188
Pt: 0.4948 0.8188 0.2455
Pt: 0.5052 0.1812 0.7545
Pt: 0.7545 0.5052 0.1812
Pt: 0.7576 0.8359 0.9347
Pt: 0.8188 0.2455 0.4948
Pt: 0.8359 0.9347 0.7576
Pt: 0.9347 0.7576 0.8359
Cl: 0.0068 0.6689 0.2521
Cl: 0.0652 0.4152 0.5750
Cl: 0.0757 0.0956 0.8282
Cl: 0.0956 0.8282 0.0757
Cl: 0.1351 0.5271 0.3590
Cl: 0.1718 0.9243 0.9044
Cl: 0.1790 0.2581 0.6672
Cl: 0.2217 0.2978 0.3940
Cl: 0.2521 0.0068 0.6689
Cl: 0.2582 0.6672 0.1790
Cl: 0.2978 0.3940 0.2217
Cl: 0.3311 0.7479 0.9932
Cl: 0.3328 0.8210 0.7418
Cl: 0.3590 0.1351 0.5271
Cl: 0.3940 0.2217 0.2978
Cl: 0.4152 0.5750 0.0652
Cl: 0.4250 0.9348 0.5848
Cl: 0.4729 0.6410 0.8649
Cl: 0.5271 0.3590 0.1351
Cl: 0.5750 0.0652 0.4152
Cl: 0.5848 0.4250 0.9348
Cl: 0.6060 0.7783 0.7022
Cl: 0.6410 0.8649 0.4729
Cl: 0.6672 0.1790 0.2582
Cl: 0.6689 0.2521 0.0068
Cl: 0.7022 0.6060 0.7783
Cl: 0.7418 0.3327 0.8210
Cl: 0.7479 0.9932 0.3311
Cl: 0.7783 0.7022 0.6060
Cl: 0.8210 0.7418 0.3328
Cl: 0.8282 0.0757 0.0956
Cl: 0.8649 0.4729 0.6410
Cl: 0.9044 0.1718 0.9243
Cl: 0.9243 0.9044 0.1718
Cl: 0.9348 0.5848 0.4250
Cl: 0.9932 0.3311 0.7479


No. 12
For Ba3Sb2S7, DFT lattice parameters and positions (PBE) gives the computed powder X-ray diffraction pattern in this record (Cu Kα (weighted mean of Kα1 and Kα2)).
Kinematic intensities with the Lorentz-polarization factor, no thermal factor.

Top 6 peaks for 2θ from 15° to 90°, sorted by position:
2θ (°), intensity
24.7, 75
24.9, 100
26.6, 98
28.7, 88
30.7, 41
39.5, 81

Structural model:
a = 11.2026 Å, b = 11.2026 Å, c = 13.3978 Å
α = 106.73°, β = 106.73°, γ = 67.55°
Element x y z (fractional)
Ba: 0.0938 0.1034 0.1728
Ba: 0.1034 0.0938 0.6728
Ba: 0.1220 0.6147 0.5570
Ba: 0.3853 0.8780 0.9430
Ba: 0.3921 0.3964 0.8237
Ba: 0.3964 0.3921 0.3237
Ba: 0.6036 0.6079 0.6763
Ba: 0.6079 0.6036 0.1763
Ba: 0.6147 0.1220 0.0570
Ba: 0.8780 0.3853 0.4430
Ba: 0.8966 0.9062 0.3272
Ba: 0.9062 0.8966 0.8272
Sb: 0.1955 0.6448 0.0924
Sb: 0.2020 0.2586 0.9898
Sb: 0.2586 0.2020 0.4898
Sb: 0.3552 0.8045 0.4076
Sb: 0.6448 0.1955 0.5924
Sb: 0.7414 0.7980 0.5102
Sb: 0.7980 0.7414 0.0102
Sb: 0.8045 0.3552 0.9076
S: 0.0779 0.0942 0.9147
S: 0.0942 0.0779 0.4147
S: 0.1138 0.6110 0.8875
S: 0.1456 0.3459 0.6337
S: 0.1465 0.3499 0.3636
S: 0.1953 0.6931 0.3692
S: 0.2012 0.6933 0.8187
S: 0.3067 0.7988 0.6813
S: 0.3069 0.8047 0.1308
S: 0.3459 0.1456 0.1337
S: 0.3499 0.1465 0.8636
S: 0.3890 0.8862 0.6125
S: 0.3972 0.4449 0.0889
S: 0.4449 0.3972 0.5889
S: 0.5551 0.6028 0.4111
S: 0.6028 0.5551 0.9111
S: 0.6110 0.1138 0.3875
S: 0.6501 0.8535 0.1364
S: 0.6541 0.8544 0.8663
S: 0.6931 0.1953 0.8692
S: 0.6933 0.2012 0.3187
S: 0.7988 0.3067 0.1813
S: 0.8047 0.3069 0.6308
S: 0.8535 0.6501 0.6364
S: 0.8544 0.6541 0.3663
S: 0.8862 0.3890 0.1125
S: 0.9058 0.9221 0.5853
S: 0.9221 0.9058 0.0853